Structure and computed powder diffractogram of Li4FeO2F2 (DFT lattice parameters and positions (PBE+U); CuKα).

Main lines, low angle first (10 to 80 degrees two-theta):
Position (°2θ)  d_spacing  I (rel.)
17.00  5.217  36
18.10  4.902  36
26.83  3.323  100
27.91  3.197  78
35.86  2.504  45
43.63  2.075  32

Structural model:
```
9
Lattice="4.9890 -1.8303 0.0000 4.9890 1.8303 0.0000 -3.9999 0.0000 5.2170" Properties=species:S:1:pos:R:3 pbc="T T T"
Li 0.0000 0.0000 0.0000
Li -0.5458 0.0000 3.2353
Li 3.9444 0.0000 1.6801
Li 3.4127 0.0000 4.9138
Fe 6.6860 0.0000 2.4600
O 5.0488 0.0000 3.4590
O 8.3221 0.0000 1.4665
F -2.1468 0.0000 4.2952
F 5.5453 0.0000 0.6262
```